No. 1
For KHgB2, DFT lattice parameters and positions (GGA-PBE) gives the theoretical X-ray diffraction stick pattern in this record (Cu Kα X-rays).
No peak broadening, texture or thermal motion is included.

The 10 most intense peaks (15 to 90 degrees two-theta), by angle:
- 20.49 deg, intensity 640
- 22.78 deg, intensity 428
- 26.14 deg, intensity 257
- 30.27 deg, intensity 1000
- 39.97 deg, intensity 236
- 44.96 deg, intensity 337
- 45.34 deg, intensity 219
- 46.51 deg, intensity 391
- 62.97 deg, intensity 259
- 66.66 deg, intensity 310

Crystal structure
```
KHgB2
1.0
-2.2554 2.2554 7.8071
2.2554 -2.2554 7.8071
2.2554 2.2554 -7.8071
K Hg B
2 2 4
direct
0.3750 0.6250 0.7500
0.6250 0.3750 0.2500
0.1250 0.8750 0.2500
0.8750 0.1250 0.7500
0.0000 0.0000 0.0000
0.0000 0.0000 0.5000
0.0000 0.5000 0.0000
0.5000 0.0000 0.5000
```

---

No. 2
For MgSc2HgB, DFT lattice parameters and positions (GGA-PBE) gives the theoretical X-ray diffraction stick pattern in this record (Cu Kα X-rays).
No peak broadening, texture or thermal motion is included.

The 10 most intense peaks (15 to 90 degrees two-theta), by angle:
- 18.93 deg, intensity 554
- 26.89 deg, intensity 189
- 27.42 deg, intensity 589
- 33.53 deg, intensity 1000
- 38.40 deg, intensity 381
- 39.91 deg, intensity 170
- 43.15 deg, intensity 150
- 47.83 deg, intensity 264
- 56.58 deg, intensity 239
- 66.36 deg, intensity 270

Crystal structure
```
MgSc2HgB
1.0
4.6883 0.0000 0.0000
0.0000 4.6883 0.0000
0.0000 0.0000 4.5177
Mg Sc Hg B
1 2 1 1
direct
0.0000 0.0000 0.0000
0.0000 0.5000 0.5000
0.5000 0.0000 0.5000
0.5000 0.5000 0.0000
0.0000 0.0000 0.5000
```